No. 1
The following is a simulated X-ray powder pattern of Tm9Fe10Ge10. It was derived from the PBE geometry in Alexandria, using copper Kα.
Lines closer than 0.1° are merged.

Cell and atoms:
```
Tm9Fe10Ge10
1.0
-2.662 6.634 6.990
2.662 -6.634 6.990
2.662 6.634 -6.990
Tm Fe Ge
9 10 10
Direct
0.000 0.000 0.000 Tm
0.216 0.364 0.852 Tm
0.278 0.000 0.278 Tm
0.302 0.802 0.500 Tm
0.489 0.636 0.852 Tm
0.511 0.364 0.148 Tm
0.698 0.198 0.500 Tm
0.722 0.000 0.722 Tm
0.784 0.636 0.148 Tm
0.011 0.410 0.112 Fe
0.011 0.898 0.600 Fe
0.094 0.594 0.500 Fe
0.298 0.410 0.400 Fe
0.298 0.898 0.888 Fe
0.702 0.102 0.112 Fe
0.702 0.590 0.600 Fe
0.906 0.406 0.500 Fe
0.989 0.102 0.400 Fe
0.989 0.590 0.888 Fe
0.083 0.795 0.288 Ge
0.171 0.500 0.671 Ge
0.208 0.208 0.000 Ge
0.493 0.205 0.288 Ge
0.500 0.248 0.748 Ge
0.500 0.752 0.252 Ge
0.507 0.795 0.712 Ge
0.792 0.792 0.000 Ge
0.829 0.500 0.329 Ge
0.917 0.205 0.712 Ge
```

Largest 10 diffraction maxima, sorted by position, 10 to 90 degrees two-theta:
d [Å]	2theta	Rel. int.
2.760	32.44	86.3
2.662	33.67	54.3
2.475	36.29	80.9
2.438	36.87	100.0
2.407	37.37	88.9
2.330	38.65	50.8
2.277	39.58	72.2
2.251	40.06	61.3
1.984	45.73	36.9
1.466	63.47	38.2

---

No. 2
The following is a simulated X-ray powder pattern of TmFeGe2. It was derived from the PBE geometry in Alexandria, using copper Kα.
Lines closer than 0.1° are merged.

Cell and atoms:
```
TmFeGe2
1.0
6.768 0.000 0.000
0.000 4.135 0.000
0.000 0.000 9.921
Tm Fe Ge
4 4 8
Direct
0.182 0.250 0.129 Tm
0.318 0.750 0.629 Tm
0.682 0.250 0.371 Tm
0.818 0.750 0.871 Tm
0.021 0.750 0.390 Fe
0.479 0.250 0.890 Fe
0.521 0.750 0.110 Fe
0.979 0.250 0.610 Fe
0.126 0.250 0.820 Ge
0.186 0.250 0.428 Ge
0.314 0.750 0.928 Ge
0.374 0.750 0.320 Ge
0.626 0.250 0.680 Ge
0.686 0.250 0.072 Ge
0.814 0.750 0.572 Ge
0.874 0.750 0.180 Ge
```

Largest 10 diffraction maxima, sorted by position, 10 to 90 degrees two-theta:
d [Å]	2theta	Rel. int.
3.325	26.82	33.1
2.619	34.24	100.0
2.583	34.74	37.4
2.532	35.45	59.6
2.480	36.22	47.9
2.413	37.26	94.2
2.365	38.05	36.8
2.068	43.79	61.6
2.053	44.11	56.9
1.864	48.87	29.1

---

No. 3
The following is a simulated X-ray powder pattern of TmFeGe. It was derived from the PBE geometry in Alexandria, using copper Kα.
Lines closer than 0.1° are merged.

Cell and atoms:
```
TmFeGe
1.0
-2.015 2.015 6.599
2.015 -2.015 6.599
2.015 2.015 -6.599
Tm Fe Ge
2 2 2
Direct
0.149 0.149 0.000 Tm
0.851 0.851 0.000 Tm
0.000 0.500 0.500 Fe
0.500 0.000 0.500 Fe
0.390 0.390 0.000 Ge
0.610 0.610 0.000 Ge
```

Largest 10 diffraction maxima, sorted by position, 10 to 90 degrees two-theta:
d [Å]	2theta	Rel. int.
3.299	27.03	24.9
2.972	30.07	51.3
2.850	31.38	52.0
2.617	34.27	22.0
2.157	41.88	100.0
2.015	44.98	52.0
1.708	53.67	16.0
1.668	55.05	19.2
1.425	65.49	16.6
1.189	80.83	28.3

---

No. 4
The following is a simulated X-ray powder pattern of TmFe2Ge3. It was derived from the PBE geometry in Alexandria, using copper Kα.
Lines closer than 0.1° are merged.

Cell and atoms:
```
TmFe2Ge3
1.0
2.015 -5.900 0.000
2.015 5.900 0.000
0.000 0.000 8.092
Tm Fe Ge
2 4 6
Direct
0.194 0.806 0.750 Tm
0.806 0.194 0.250 Tm
0.000 0.000 0.000 Fe
0.000 0.000 0.500 Fe
0.477 0.523 0.750 Fe
0.523 0.477 0.250 Fe
0.124 0.876 0.250 Ge
0.384 0.616 0.021 Ge
0.384 0.616 0.479 Ge
0.616 0.384 0.521 Ge
0.616 0.384 0.979 Ge
0.876 0.124 0.750 Ge
```

Largest 10 diffraction maxima, sorted by position, 10 to 90 degrees two-theta:
d [Å]	2theta	Rel. int.
3.450	25.83	18.5
3.337	26.71	18.2
2.773	32.28	31.7
2.659	33.71	15.6
2.311	38.98	100.0
2.202	40.98	12.9
2.037	44.49	14.3
2.023	44.80	25.8
2.015	44.99	27.7
1.428	65.37	16.1

---

No. 5
The following is a simulated X-ray powder pattern of TmFe6Ge6. It was derived from the PBE geometry in Alexandria, using copper Kα.
Lines closer than 0.1° are merged.

Cell and atoms:
```
TmFe6Ge6
1.0
-2.550 4.066 13.234
2.550 -4.066 13.234
2.550 4.066 -13.234
Tm Fe Ge
3 18 18
Direct
0.000 0.000 0.000 Tm
0.168 0.668 0.500 Tm
0.832 0.332 0.500 Tm
0.000 0.000 0.500 Fe
0.000 0.500 0.000 Fe
0.083 0.833 0.250 Fe
0.166 0.167 0.499 Fe
0.166 0.667 0.999 Fe
0.249 0.500 0.749 Fe
0.332 0.333 0.499 Fe
0.332 0.833 0.999 Fe
0.417 0.167 0.250 Fe
0.500 0.000 0.000 Fe
0.500 0.500 0.500 Fe
0.583 0.833 0.750 Fe
0.668 0.167 0.001 Fe
0.668 0.667 0.501 Fe
0.751 0.500 0.251 Fe
0.834 0.333 0.001 Fe
0.834 0.833 0.501 Fe
0.917 0.167 0.750 Fe
0.056 0.556 0.500 Ge
0.112 0.112 0.000 Ge
0.180 0.334 0.846 Ge
0.224 0.224 0.000 Ge
0.280 0.780 0.500 Ge
0.345 0.000 0.345 Ge
0.390 0.890 0.500 Ge
0.445 0.445 0.000 Ge
0.488 0.334 0.154 Ge
0.512 0.666 0.846 Ge
0.555 0.555 0.000 Ge
0.610 0.110 0.500 Ge
0.655 0.000 0.655 Ge
0.720 0.220 0.500 Ge
0.776 0.776 0.000 Ge
0.820 0.666 0.154 Ge
0.888 0.888 0.000 Ge
0.944 0.444 0.500 Ge
```

Largest 10 diffraction maxima, sorted by position, 10 to 90 degrees two-theta:
d [Å]	2theta	Rel. int.
2.548	35.22	71.9
2.207	40.89	51.9
2.159	41.84	100.0
2.033	44.57	24.6
1.940	46.83	24.8
1.939	46.86	21.5
1.471	63.21	16.2
1.383	67.73	22.9
1.274	74.49	18.7
1.197	80.23	26.2

---

No. 6
The following is a simulated X-ray powder pattern of TmFe5Ge3. It was derived from the PBE geometry in Alexandria, using copper Kα.
Lines closer than 0.1° are merged.

Cell and atoms:
```
TmFe5Ge3
1.0
2.001 -5.957 0.000
2.001 5.957 0.000
0.000 0.000 11.137
Tm Fe Ge
2 10 6
Direct
0.170 0.830 0.750 Tm
0.830 0.170 0.250 Tm
0.000 0.000 0.000 Fe
0.000 0.000 0.500 Fe
0.198 0.802 0.040 Fe
0.198 0.802 0.460 Fe
0.408 0.592 0.638 Fe
0.408 0.592 0.862 Fe
0.592 0.408 0.138 Fe
0.592 0.408 0.362 Fe
0.802 0.198 0.540 Fe
0.802 0.198 0.960 Fe
0.125 0.875 0.250 Ge
0.395 0.605 0.078 Ge
0.395 0.605 0.422 Ge
0.605 0.395 0.578 Ge
0.605 0.395 0.922 Ge
0.875 0.125 0.750 Ge
```

Largest 10 diffraction maxima, sorted by position, 10 to 90 degrees two-theta:
d [Å]	2theta	Rel. int.
2.979	30.00	32.4
2.819	31.75	25.0
2.653	33.79	68.6
2.515	35.70	56.5
2.323	38.76	29.4
2.244	40.18	100.0
2.047	44.24	71.1
2.001	45.33	66.9
1.981	45.81	36.1
1.921	47.31	23.8

---

No. 7
The following is a simulated X-ray powder pattern of UFe2Ge2. It was derived from the PBE geometry in Alexandria, using copper Kα.
Lines closer than 0.1° are merged.

Cell and atoms:
```
UFe2Ge2
1.0
4.071 -2.743 0.000
4.071 2.743 0.000
-4.067 0.000 4.150
U Fe Ge
1 2 2
Direct
0.000 0.000 0.000 U
0.257 0.257 0.514 Fe
0.743 0.743 0.486 Fe
0.250 0.750 0.500 Ge
0.750 0.250 0.500 Ge
```

Largest 10 diffraction maxima, sorted by position, 10 to 90 degrees two-theta:
d [Å]	2theta	Rel. int.
4.071	21.83	20.5
3.989	22.29	100.0
2.906	30.77	31.2
2.364	38.07	31.3
2.334	38.57	25.3
2.288	39.38	16.5
2.275	39.62	58.2
2.075	43.62	21.9
2.036	44.51	20.8
1.533	60.38	40.2

---

No. 8
The following is a simulated X-ray powder pattern of U4Fe7Ge6. It was derived from the PBE geometry in Alexandria, using copper Kα.
Lines closer than 0.1° are merged.

Cell and atoms:
```
U4Fe7Ge6
1.0
-4.043 4.043 4.043
4.043 -4.043 4.043
4.043 4.043 -4.043
U Fe Ge
4 7 6
Direct
0.000 0.000 0.500 U
0.000 0.500 0.000 U
0.500 0.000 0.000 U
0.500 0.500 0.500 U
0.000 0.000 0.000 Fe
0.250 0.500 0.750 Fe
0.250 0.750 0.500 Fe
0.500 0.250 0.750 Fe
0.500 0.750 0.250 Fe
0.750 0.250 0.500 Fe
0.750 0.500 0.250 Fe
0.000 0.318 0.318 Ge
0.000 0.682 0.682 Ge
0.318 0.000 0.318 Ge
0.318 0.318 0.000 Ge
0.682 0.000 0.682 Ge
0.682 0.682 0.000 Ge
```

Largest 10 diffraction maxima, sorted by position, 10 to 90 degrees two-theta:
d [Å]	2theta	Rel. int.
4.043	21.98	36.4
2.859	31.29	74.5
2.334	38.57	100.0
2.022	44.83	55.6
1.808	50.47	31.7
1.651	55.68	19.5
1.430	65.27	28.9
1.348	69.78	20.4
1.279	74.16	22.4
1.219	78.45	28.1

---

No. 9
The following is a simulated X-ray powder pattern of V2FeGe. It was derived from the PBE geometry in Alexandria, using copper Kα.
Lines closer than 0.1° are merged.

Cell and atoms:
```
V2FeGe
1.0
4.618 0.000 0.000
0.000 3.300 3.299
0.000 -3.300 3.299
V Fe Ge
4 2 2
Direct
0.000 0.000 0.000 V
0.250 0.742 0.509 V
0.500 0.000 0.000 V
0.750 0.509 0.742 V
0.250 0.252 0.511 Fe
0.750 0.511 0.252 Fe
0.250 0.498 0.013 Ge
0.750 0.013 0.498 Ge
```

Largest 10 diffraction maxima, sorted by position, 10 to 90 degrees two-theta:
d [Å]	2theta	Rel. int.
2.333	38.59	43.7
2.309	39.01	24.4
2.084	43.41	87.7
2.069	43.75	42.5
1.902	47.84	100.0
1.892	48.10	43.2
1.246	76.44	21.2
1.243	76.64	21.8
1.239	76.98	22.7
1.166	82.74	14.0

---

No. 10
The following is a simulated X-ray powder pattern of V2FeGe. It was derived from the PBE geometry in Alexandria, using copper Kα.
Lines closer than 0.1° are merged.

Cell and atoms:
```
V2FeGe
1.0
5.145 0.000 0.000
0.000 4.228 0.000
-2.136 0.000 4.724
V Fe Ge
4 2 2
Direct
0.141 0.250 0.374 V
0.153 0.250 0.866 V
0.847 0.750 0.134 V
0.859 0.750 0.626 V
0.339 0.750 0.657 Fe
0.661 0.250 0.343 Fe
0.356 0.750 0.171 Ge
0.644 0.250 0.829 Ge
```

Largest 10 diffraction maxima, sorted by position, 10 to 90 degrees two-theta:
d [Å]	2theta	Rel. int.
2.170	41.62	40.8
2.114	42.78	61.5
2.062	43.91	97.3
2.050	44.18	100.0
1.930	47.08	30.4
1.514	61.21	23.9
1.400	66.81	14.0
1.210	79.14	15.1
1.208	79.33	15.9
1.167	82.66	14.9

---

No. 11
The following is a simulated X-ray powder pattern of V12FeGe3. It was derived from the PBE geometry in Alexandria, using copper Kα.
Lines closer than 0.1° are merged.

Cell and atoms:
```
V12FeGe3
1.0
4.719 0.000 0.000
0.000 4.729 0.000
0.000 0.000 9.476
V Fe Ge
12 1 3
Direct
0.000 0.000 0.117 V
0.000 0.000 0.370 V
0.000 0.000 0.630 V
0.000 0.000 0.883 V
0.245 0.500 0.243 V
0.245 0.500 0.757 V
0.500 0.244 0.500 V
0.500 0.256 0.000 V
0.500 0.744 0.000 V
0.500 0.756 0.500 V
0.755 0.500 0.243 V
0.755 0.500 0.757 V
0.000 0.500 0.000 Fe
0.000 0.500 0.500 Ge
0.500 0.000 0.251 Ge
0.500 0.000 0.749 Ge
```

Largest 10 diffraction maxima, sorted by position, 10 to 90 degrees two-theta:
d [Å]	2theta	Rel. int.
2.367	38.02	47.4
2.359	38.14	23.5
2.116	42.73	88.3
2.111	42.83	44.9
1.931	47.05	100.0
1.928	47.13	48.7
1.313	71.93	11.5
1.310	72.09	12.6
1.265	75.12	33.8
1.263	75.26	33.9

---

No. 12
The following is a simulated X-ray powder pattern of Y3Fe2Ge4. It was derived from the PBE geometry in Alexandria, using copper Kα.
Lines closer than 0.1° are merged.

Cell and atoms:
```
Y3Fe2Ge4
1.0
5.305 -2.110 0.000
5.305 2.110 0.000
-2.514 0.000 7.622
Y Fe Ge
3 2 4
Direct
0.000 0.000 0.000 Y
0.379 0.379 0.306 Y
0.621 0.621 0.694 Y
0.314 0.314 0.635 Fe
0.686 0.686 0.365 Fe
0.103 0.103 0.403 Ge
0.288 0.288 0.916 Ge
0.712 0.712 0.084 Ge
0.897 0.897 0.597 Ge
```

Largest 10 diffraction maxima, sorted by position, 10 to 90 degrees two-theta:
d [Å]	2theta	Rel. int.
2.697	33.22	83.4
2.626	34.14	100.0
2.572	34.88	74.1
2.541	35.33	31.8
2.196	41.11	29.4
2.110	42.86	59.7
2.102	43.03	56.3
1.623	56.72	23.8
1.424	65.57	21.1
1.277	74.26	18.5